Computed XRD peak list of Hg2P4PdO8 for Cu Kα, from the GGA-PBE geometry in Alexandria.

Principal peaks in the range 15° ≤ 2θ ≤ 90°, in order of rising 2θ:
- 16.34°, rel. 100
- 21.13°, rel. 24
- 21.77°, rel. 27
- 24.28°, rel. 14
- 24.47°, rel. 12
- 31.13°, rel. 16
- 33.03°, rel. 33
- 40.55°, rel. 13

Atomic structure:
a b c (Å): 12.3861 11.7880 9.0416
angles (deg): 71.60 64.56 43.84
Sites, in units of the cell vectors:
Hg  0.0000  0.0000  0.0000
Hg  0.0000  0.0000  0.5000
Hg  0.0000  0.5000  0.0000
Hg  0.5000  0.0000  0.0000
P  0.2013  0.6552  0.3425
P  0.3010  0.3425  0.6552
P  0.3425  0.3010  0.2013
P  0.3448  0.7987  0.6990
P  0.6552  0.2013  0.3010
P  0.6575  0.6990  0.7987
P  0.6990  0.6575  0.3448
P  0.7987  0.3448  0.6575
Pd  0.3750  0.3750  0.3750
Pd  0.6250  0.6250  0.6250
O  0.1161  0.4814  0.7475
O  0.1158  0.7614  0.2155
O  0.1549  0.7475  0.4814
O  0.2155  0.4072  0.1158
O  0.2386  0.8842  0.5928
O  0.2525  0.8451  0.8839
O  0.4072  0.2155  0.7614
O  0.4814  0.1161  0.1549
O  0.5186  0.8839  0.8451
O  0.5928  0.7845  0.2386
O  0.7475  0.1549  0.1161
O  0.7614  0.1158  0.4072
O  0.7845  0.5928  0.8842
O  0.8451  0.2525  0.5186
O  0.8842  0.2386  0.7845
O  0.8839  0.5186  0.2525